Starting from a GGA-PBE-relaxed structure, the XRD peak list of Na5V2Se6 was calculated for CuKα.
Neutral-atom scattering factors, no anomalous dispersion.

Top 10 peaks for 15 to 90 degrees two-theta, sorted by position:
23.38 deg, intensity 56, hkl 0 0 4; 23.86 deg, intensity 95, hkl 0 2 0; 25.43 deg, intensity 71, hkl 3 1 0; 25.89 deg, intensity 68, hkl 3 1 -2; 30.05 deg, intensity 82, hkl 3 1 2; 31.23 deg, intensity 67, hkl 3 1 -4; 33.65 deg, intensity 100, hkl 0 2 4; 38.10 deg, intensity 41, hkl 3 1 4; 43.23 deg, intensity 47, hkl 3 3 -2; 44.64 deg, intensity 63, hkl 6 0 -2

Crystal structure
a = 12.1910 Å, b = 7.4588 Å, c = 15.5899 Å
α = 90.00°, β = 102.48°, γ = 90.00°
Space group C2/c (No. 15)
Unique sites:
Na  0.0000  0.1652  0.2500 x4
Na  0.0517  0.2370  0.0013 x8
Na  0.1622  0.3692  0.7376 x8
V  0.2283  0.3661  0.4314 x8
Se  0.0482  0.4772  0.3739 x8
Se  0.1348  0.0265  0.6432 x8
Se  0.2177  0.0468  0.4185 x8

Starting from a GGA-PBE-relaxed structure, the XRD peak list of NdIn2Cu9 was calculated for CuKα.
Neutral-atom scattering factors, no anomalous dispersion.

Top 10 peaks for 15 to 90 degrees two-theta, sorted by position:
33.21 deg, intensity 23, hkl 3 1 0; 34.70 deg, intensity 22, hkl 2 2 1; 35.77 deg, intensity 17, hkl 0 0 2; 37.86 deg, intensity 100, hkl 3 1 1; 41.75 deg, intensity 29, hkl 2 0 2; 42.23 deg, intensity 40, hkl 3 2 1; 43.14 deg, intensity 75, hkl 2 1 2; 43.76 deg, intensity 35, hkl 4 1 0; 65.65 deg, intensity 22, hkl 3 1 3; 67.25 deg, intensity 16, hkl 5 1 2

Crystal structure
a = 8.5301 Å, b = 8.5301 Å, c = 5.0210 Å
α = 90.00°, β = 90.00°, γ = 90.00°
Space group P4/mbm (No. 127)
Unique sites:
Nd  0.0000  0.0000  0.0000 x2
In  0.1238  0.3762  0.0000 x4
Cu  0.0000  0.5000  0.5000 x2
Cu  0.0638  0.2060  0.5000 x8
Cu  0.1763  0.6763  0.2475 x8

Starting from a GGA-PBE-relaxed structure, the XRD peak list of Li4SbTe3O12 was calculated for CuKα.
Neutral-atom scattering factors, no anomalous dispersion.

Top 10 peaks for 15 to 90 degrees two-theta, sorted by position:
19.33 deg, intensity 11, hkl 0 2 0; 19.62 deg, intensity 38, hkl 0 1 1; 19.83 deg, intensity 100, hkl 1 1 0; 30.44 deg, intensity 41, hkl 1 2 -1; 32.14 deg, intensity 35, hkl 1 2 1; 33.98 deg, intensity 22, hkl 0 3 1; 38.73 deg, intensity 13, hkl 1 1 -2; 41.46 deg, intensity 12, hkl 1 1 2; 48.41 deg, intensity 14, hkl 2 3 -1; 50.72 deg, intensity 14, hkl 2 3 1

Crystal structure
a = 5.1477 Å, b = 9.1846 Å, c = 5.2178 Å
α = 90.00°, β = 94.94°, γ = 90.00°
Space group P2 (No. 3)
Unique sites:
Li  0.0000  0.0000  0.0000 x1
Li  0.0000  0.2992  0.5000 x1
Li  0.5000  0.4730  0.5000 x1
Li  0.5000  0.8334  0.0000 x1
Sb  0.5000  0.0527  0.5000 x1
Te  0.0000  0.5572  0.0000 x1
Te  0.0000  0.7516  0.5000 x1
Te  0.5000  0.2418  0.0000 x1
O  0.2112  0.5945  0.3514 x2
O  0.2108  0.7151  0.8476 x2
O  0.2642  0.9091  0.3179 x2
O  0.2841  0.2141  0.2939 x2
O  0.2893  0.3801  0.8050 x2
O  0.2942  0.0788  0.8111 x2

Starting from a GGA-PBE-relaxed structure, the XRD peak list of DySi3Pd3 was calculated for CuKα.
Neutral-atom scattering factors, no anomalous dispersion.

Top 10 peaks for 15 to 90 degrees two-theta, sorted by position:
29.76 deg, intensity 28, hkl 1 1 1; 30.54 deg, intensity 21, hkl 1 2 0; 31.98 deg, intensity 100, hkl 2 0 1; 34.75 deg, intensity 35, hkl 3 0 0; 37.93 deg, intensity 40, hkl 2 1 1; 42.07 deg, intensity 19, hkl 1 3 0; 44.75 deg, intensity 20, hkl 0 0 2; 47.94 deg, intensity 20, hkl 1 3 1; 56.57 deg, intensity 32, hkl 3 2 1; 57.88 deg, intensity 16, hkl 3 0 2

Crystal structure
a = 8.9416 Å, b = 8.9416 Å, c = 4.0503 Å
α = 90.00°, β = 90.00°, γ = 120.00°
Space group P6_3/m (No. 176)
Unique sites:
Dy  0.3333  0.6667  0.2500 x2
Si  0.0488  0.4333  0.7500 x6
Pd  0.0927  0.7244  0.7500 x6

Starting from a GGA-PBE-relaxed structure, the XRD peak list of NdSmY2Er2 was calculated for CuKα.
Neutral-atom scattering factors, no anomalous dispersion.

Top 10 peaks for 15 to 90 degrees two-theta, sorted by position:
16.77 deg, intensity 48, hkl 1 2 0; 26.57 deg, intensity 34, hkl 0 1 1; 29.01 deg, intensity 100, hkl 2 2 0; 29.97 deg, intensity 90, hkl 0 6 0; 30.15 deg, intensity 84, hkl 0 3 1; 31.17 deg, intensity 55, hkl 1 2 1; 33.91 deg, intensity 81, hkl 2 4 0; 35.80 deg, intensity 54, hkl 1 4 1; 41.05 deg, intensity 61, hkl 2 3 1; 64.99 deg, intensity 49, hkl 4 6 0

Crystal structure
a = 6.5559 Å, b = 17.8879 Å, c = 3.4160 Å
α = 90.00°, β = 90.00°, γ = 90.00°
Space group Pnnm (No. 58)
Unique sites:
Nd  0.0000  0.0000  0.0000 x2
Sm  0.0000  0.5000  0.0000 x2
Y  0.2223  0.1869  0.0000 x4
Er  0.2211  0.3521  0.5000 x4

Starting from a GGA-PBE-relaxed structure, the XRD peak list of RbBaCr2P was calculated for CuKα.
Neutral-atom scattering factors, no anomalous dispersion.

Top 10 peaks for 15 to 90 degrees two-theta, sorted by position:
19.29 deg, intensity 100, hkl 1 0 0; 27.41 deg, intensity 24, hkl 1 1 0; 29.28 deg, intensity 68, hkl 0 0 2; 31.15 deg, intensity 61, hkl 1 1 1; 35.30 deg, intensity 45, hkl 1 0 2; 39.15 deg, intensity 60, hkl 2 0 0; 44.00 deg, intensity 24, hkl 2 1 0; 49.63 deg, intensity 58, hkl 2 0 2; 53.73 deg, intensity 27, hkl 2 1 2; 64.96 deg, intensity 25, hkl 2 2 2

Crystal structure
a = 4.6022 Å, b = 4.6022 Å, c = 6.1005 Å
α = 90.00°, β = 90.00°, γ = 90.00°
Space group P4/mmm (No. 123)
Unique sites:
Rb  0.0000  0.0000  0.0000 x1
Ba  0.0000  0.0000  0.5000 x1
Cr  0.0000  0.5000  0.0000 x2
P  0.5000  0.5000  0.5000 x1

Starting from a GGA-PBE-relaxed structure, the XRD peak list of NdAl4Au6 was calculated for CuKα.
Neutral-atom scattering factors, no anomalous dispersion.

Top 10 peaks for 15 to 90 degrees two-theta, sorted by position:
24.97 deg, intensity 29, hkl 1 0 1; 27.72 deg, intensity 22, hkl 2 0 0; 34.87 deg, intensity 100, hkl 2 0 1; 36.95 deg, intensity 18, hkl 2 1 0; 42.15 deg, intensity 41, hkl 0 0 2; 42.74 deg, intensity 25, hkl 2 1 1; 49.03 deg, intensity 16, hkl 2 2 0; 66.62 deg, intensity 17, hkl 2 2 2; 67.04 deg, intensity 19, hkl 3 2 1; 77.44 deg, intensity 14, hkl 5 0 1

Crystal structure
a = 7.4326 Å, b = 7.4326 Å, c = 4.2842 Å
α = 90.00°, β = 90.00°, γ = 120.00°
Space group P-6m2 (No. 187)
Unique sites:
Nd  0.0000  0.0000  0.0000 x1
Al  0.2003  0.4006  0.5000 x3
Al  0.6667  0.3333  0.0000 x1
Au  0.0683  0.5341  0.0000 x3
Au  0.3901  0.1951  0.5000 x3

Starting from a GGA-PBE-relaxed structure, the XRD peak list of Li3AlPd3O8 was calculated for CuKα.
Neutral-atom scattering factors, no anomalous dispersion.

Top 10 peaks for 15 to 90 degrees two-theta, sorted by position:
17.70 deg, intensity 100, hkl 0 0 1; 33.21 deg, intensity 16, hkl 4 0 -1; 35.55 deg, intensity 29, hkl 2 2 -1; 36.22 deg, intensity 15, hkl 2 2 0; 39.15 deg, intensity 21, hkl 4 0 0; 43.46 deg, intensity 34, hkl 2 2 -2; 45.16 deg, intensity 12, hkl 2 2 1; 59.42 deg, intensity 11, hkl 2 2 2; 60.40 deg, intensity 11, hkl 6 2 -2; 63.15 deg, intensity 10, hkl 0 4 0

Crystal structure
a = 10.8241 Å, b = 5.8877 Å, c = 5.8921 Å
α = 90.00°, β = 121.76°, γ = 90.00°
Space group C2/m (No. 12)
Unique sites:
Li  0.0000  0.0000  0.0000 x2
Li  0.2500  0.2500  0.0000 x4
Al  0.0000  0.0000  0.5000 x2
Pd  0.0000  0.5000  0.5000 x2
Pd  0.2500  0.2500  0.5000 x4
O  0.0217  0.2369  0.3011 x8
O  0.2141  0.0000  0.7135 x4
O  0.2164  0.0000  0.2317 x4

Starting from a GGA-PBE-relaxed structure, the XRD peak list of AsF5 was calculated for CuKα.
Neutral-atom scattering factors, no anomalous dispersion.

Top 10 peaks for 15 to 90 degrees two-theta, sorted by position:
17.35 deg, intensity 32, hkl 1 0 0; 22.04 deg, intensity 100, hkl 1 0 1; 27.16 deg, intensity 15, hkl 0 0 2; 30.29 deg, intensity 32, hkl 1 1 0; 35.11 deg, intensity 18, hkl 2 0 0; 45.06 deg, intensity 19, hkl 1 0 3; 49.16 deg, intensity 22, hkl 2 1 1; 62.99 deg, intensity 10, hkl 2 2 0; 64.31 deg, intensity 12, hkl 2 1 3; 67.60 deg, intensity 8, hkl 3 1 1

Crystal structure
a = 5.9024 Å, b = 5.9024 Å, c = 6.5666 Å
α = 90.00°, β = 90.00°, γ = 120.00°
Space group P6_3/mmc (No. 194)
Unique sites:
As  0.3333  0.6667  0.2500 x2
F  0.1655  0.3310  0.2500 x6
F  0.3333  0.6667  0.5166 x4

Starting from a GGA-PBE-relaxed structure, the XRD peak list of Sr2NbO5 was calculated for CuKα.
Neutral-atom scattering factors, no anomalous dispersion.

Top 10 peaks for 15 to 90 degrees two-theta, sorted by position:
15.79 deg, intensity 79, hkl 0 0 1; 21.01 deg, intensity 69, hkl 1 0 0; 21.29 deg, intensity 49, hkl 1 1 1; 26.50 deg, intensity 100, hkl 0 1 -1; 29.46 deg, intensity 53, hkl 1 0 -1; 29.65 deg, intensity 55, hkl 1 1 2; 30.17 deg, intensity 48, hkl 1 -1 0; 30.78 deg, intensity 47, hkl 1 2 1; 32.20 deg, intensity 48, hkl 0 2 1; 38.34 deg, intensity 96, hkl 2 1 1

Crystal structure
a = 4.6983 Å, b = 6.0610 Å, c = 6.3614 Å
α = 65.64°, β = 68.66°, γ = 68.35°
Space group P1 (No. 1)
Unique sites:
Sr  0.0000  0.0000  0.0000 x1
Sr  0.4294  0.6057  0.5071 x1
Nb  0.1720  0.3451  0.2170 x1
O  0.1791  0.2291  0.5674 x1
O  0.2807  0.5916  0.9178 x1
O  0.4156  0.0288  0.1590 x1
O  0.7780  0.3331  0.2233 x1
O  0.9873  0.6313  0.3711 x1

Starting from a GGA-PBE-relaxed structure, the XRD peak list of SrCaSn was calculated for CuKα.
Neutral-atom scattering factors, no anomalous dispersion.

Top 10 peaks for 15 to 90 degrees two-theta, sorted by position:
21.20 deg, intensity 28, hkl 1 0 2; 22.12 deg, intensity 32, hkl 1 1 1; 27.35 deg, intensity 45, hkl 1 1 2; 28.10 deg, intensity 16, hkl 2 0 2; 28.82 deg, intensity 100, hkl 2 1 1; 32.72 deg, intensity 43, hkl 0 1 3; 34.57 deg, intensity 39, hkl 0 2 0; 37.02 deg, intensity 23, hkl 3 0 2; 51.57 deg, intensity 24, hkl 3 2 2; 60.82 deg, intensity 23, hkl 0 3 3

Crystal structure
a = 8.4251 Å, b = 5.1887 Å, c = 9.6631 Å
α = 90.00°, β = 90.00°, γ = 90.00°
Space group Pnma (No. 62)
Unique sites:
Sr  0.0212  0.2500  0.1830 x4
Ca  0.1502  0.2500  0.5701 x4
Sn  0.2364  0.7500  0.3905 x4

Starting from a GGA-PBE-relaxed structure, the XRD peak list of HgP4Ru was calculated for CuKα.
Neutral-atom scattering factors, no anomalous dispersion.

Top 10 peaks for 15 to 90 degrees two-theta, sorted by position:
21.06 deg, intensity 63, hkl 1 1 1; 34.73 deg, intensity 92, hkl 2 2 0; 40.98 deg, intensity 100, hkl 3 1 1; 54.78 deg, intensity 15, hkl 3 3 1; 62.26 deg, intensity 34, hkl 4 2 2; 66.51 deg, intensity 32, hkl 3 3 3; 73.31 deg, intensity 20, hkl 4 4 0; 77.27 deg, intensity 13, hkl 5 3 1; 83.74 deg, intensity 15, hkl 6 2 0; 87.58 deg, intensity 12, hkl 5 3 3

Crystal structure
a = 7.3050 Å, b = 7.3050 Å, c = 7.3050 Å
α = 90.00°, β = 90.00°, γ = 90.00°
Space group F-43m (No. 216)
Unique sites:
Hg  0.0000  0.0000  0.0000 x4
P  0.1332  0.1332  0.3668 x16
Ru  0.2500  0.2500  0.7500 x4